Structure and computed X-ray diffraction stick pattern of LuZrCo2 (DFT lattice parameters and positions (GGA-PBE); a wavelength of 1.5418 Å).
Kinematic intensities with the Lorentz-polarization factor, no thermal factor.

Cell and atoms:
```
LuZrCo2
1.0
0.000 3.235 3.235
3.235 0.000 3.235
3.235 3.235 0.000
Lu Zr Co
1 1 2
Direct
0.000 0.000 0.000
0.500 0.500 0.500
0.250 0.250 0.250
0.750 0.750 0.750
```

Peak list (8 most intense, 15 to 90 degrees two-theta, low angle first)
two_theta	Rel. int.
23.82	10
27.57	17
39.39	100
46.55	5
56.93	17
64.40	7
71.42	33
84.75	10